Theoretical powder diffractogram
Compound: Ti6Co16Ge7
Radiation: Cu Kα
Structure: a structure optimized by DFT (PBE)
Intensities are scaled so that the largest is 100.

Crystal structure
Unit cell a=8.001 b=8.001 c=8.001 alpha=60.00 beta=60.00 gamma=60.00
Atoms (fractional coordinates):
Ti1 0.199 0.199 0.801
Ti2 0.199 0.801 0.199
Ti3 0.199 0.801 0.801
Ti4 0.801 0.199 0.199
Ti5 0.801 0.199 0.801
Ti6 0.801 0.801 0.199
Co1 0.140 0.620 0.620
Co2 0.166 0.166 0.166
Co3 0.166 0.166 0.502
Co4 0.166 0.502 0.166
Co5 0.380 0.380 0.380
Co6 0.380 0.380 0.860
Co7 0.380 0.860 0.380
Co8 0.498 0.834 0.834
Co9 0.502 0.166 0.166
Co10 0.620 0.140 0.620
Co11 0.620 0.620 0.140
Co12 0.620 0.620 0.620
Co13 0.834 0.498 0.834
Co14 0.834 0.834 0.498
Co15 0.834 0.834 0.834
Co16 0.860 0.380 0.380
Ge1 0.000 0.000 0.500
Ge2 0.000 0.500 0.000
Ge3 0.000 0.500 0.500
Ge4 0.500 0.000 0.000
Ge5 0.500 0.000 0.500
Ge6 0.500 0.500 0.000
Ge7 0.500 0.500 0.500

Principal peaks in the range 10° ≤ 2θ ≤ 90°, by angle:
two_theta  I_rel
13.56  11
15.66  14
27.30  9
39.00  13
41.47  43
45.34  100
47.54  23
48.26  9
53.74  21
76.74  10
83.76  15
85.37  14

Theoretical powder diffractogram
Compound: Tm5Co4Ge10
Radiation: Cu Kα
Structure: a structure optimized by DFT (PBE)
Intensities are scaled so that the largest is 100.

Crystal structure
Unit cell a=12.702 b=12.702 c=4.153 alpha=90.00 beta=90.00 gamma=90.00
Atoms (fractional coordinates):
Tm1 0.000 0.000 0.000
Tm2 0.113 0.387 0.500
Tm3 0.176 0.676 0.500
Tm4 0.324 0.176 0.500
Tm5 0.387 0.887 0.500
Tm6 0.500 0.500 0.000
Tm7 0.613 0.113 0.500
Tm8 0.676 0.824 0.500
Tm9 0.824 0.324 0.500
Tm10 0.887 0.613 0.500
Co1 0.024 0.754 0.000
Co2 0.246 0.024 0.000
Co3 0.254 0.524 0.000
Co4 0.476 0.254 0.000
Co5 0.524 0.746 0.000
Co6 0.746 0.476 0.000
Co7 0.754 0.976 0.000
Co8 0.976 0.246 0.000
Ge1 0.006 0.835 0.500
Ge2 0.068 0.568 0.000
Ge3 0.156 0.197 0.000
Ge4 0.165 0.006 0.500
Ge5 0.197 0.844 0.000
Ge6 0.303 0.344 0.000
Ge7 0.335 0.506 0.500
Ge8 0.344 0.697 0.000
Ge9 0.432 0.068 0.000
Ge10 0.494 0.335 0.500
Ge11 0.506 0.665 0.500
Ge12 0.568 0.932 0.000
Ge13 0.656 0.303 0.000
Ge14 0.665 0.494 0.500
Ge15 0.697 0.656 0.000
Ge16 0.803 0.156 0.000
Ge17 0.835 0.994 0.500
Ge18 0.844 0.803 0.000
Ge19 0.932 0.432 0.000
Ge20 0.994 0.165 0.500

Principal peaks in the range 10° ≤ 2θ ≤ 90°, by angle:
two_theta  I_rel
33.35  55
35.59  39
36.06  34
36.31  33
37.01  100
38.39  21
43.33  20
43.58  43
45.74  16
57.27  18
57.80  17
63.13  20

Theoretical powder diffractogram
Compound: Tm3Co4Ge13
Radiation: Cu Kα
Structure: a structure optimized by DFT (PBE)
Intensities are scaled so that the largest is 100.

Crystal structure
Unit cell a=8.752 b=8.752 c=8.752 alpha=90.00 beta=90.00 gamma=90.00
Atoms (fractional coordinates):
Tm1 0.000 0.250 0.500
Tm2 0.000 0.750 0.500
Tm3 0.250 0.500 0.000
Tm4 0.500 0.000 0.250
Tm5 0.500 0.000 0.750
Tm6 0.750 0.500 0.000
Co1 0.250 0.250 0.250
Co2 0.250 0.250 0.750
Co3 0.250 0.750 0.250
Co4 0.250 0.750 0.750
Co5 0.750 0.250 0.250
Co6 0.750 0.250 0.750
Co7 0.750 0.750 0.250
Co8 0.750 0.750 0.750
Ge1 0.000 0.000 0.000
Ge2 0.000 0.306 0.153
Ge3 0.000 0.306 0.847
Ge4 0.000 0.694 0.153
Ge5 0.000 0.694 0.847
Ge6 0.153 0.000 0.306
Ge7 0.153 0.000 0.694
Ge8 0.194 0.500 0.347
Ge9 0.194 0.500 0.653
Ge10 0.306 0.153 0.000
Ge11 0.306 0.847 0.000
Ge12 0.347 0.194 0.500
Ge13 0.347 0.806 0.500
Ge14 0.500 0.347 0.194
Ge15 0.500 0.347 0.806
Ge16 0.500 0.500 0.500
Ge17 0.500 0.653 0.194
Ge18 0.500 0.653 0.806
Ge19 0.653 0.194 0.500
Ge20 0.653 0.806 0.500
Ge21 0.694 0.153 0.000
Ge22 0.694 0.847 0.000
Ge23 0.806 0.500 0.347
Ge24 0.806 0.500 0.653
Ge25 0.847 0.000 0.306
Ge26 0.847 0.000 0.694

Principal peaks in the range 10° ≤ 2θ ≤ 90°, by angle:
two_theta  I_rel
22.72  15
35.53  10
37.04  100
38.49  39
41.26  24
42.59  9
51.13  8
56.63  10
61.81  11
65.78  14
71.51  15
79.77  10

Theoretical powder diffractogram
Compound: TmCoGe2
Radiation: Cu Kα
Structure: a structure optimized by DFT (PBE)
Intensities are scaled so that the largest is 100.

Crystal structure
Unit cell a=8.396 b=8.396 c=4.241 alpha=90.00 beta=90.00 gamma=152.03
Atoms (fractional coordinates):
Tm1 0.108 0.892 0.750
Tm2 0.892 0.108 0.250
Co1 0.319 0.681 0.750
Co2 0.681 0.319 0.250
Ge1 0.256 0.744 0.250
Ge2 0.458 0.542 0.750
Ge3 0.542 0.458 0.250
Ge4 0.744 0.256 0.750

Principal peaks in the range 10° ≤ 2θ ≤ 90°, by angle:
two_theta  I_rel
23.65  13
30.99  22
34.77  100
35.33  42
39.40  26
42.63  30
44.67  26
49.65  14
56.52  21
61.06  14
63.45  18
75.88  14

Theoretical powder diffractogram
Compound: TmCo6Ge6
Radiation: Cu Kα
Structure: a structure optimized by DFT (PBE)
Intensities are scaled so that the largest is 100.

Crystal structure
Unit cell a=5.079 b=5.079 c=7.853 alpha=90.00 beta=90.00 gamma=120.00
Atoms (fractional coordinates):
Tm1 0.000 0.000 0.000
Co1 0.000 0.500 0.250
Co2 0.000 0.500 0.750
Co3 0.500 0.000 0.250
Co4 0.500 0.000 0.750
Co5 0.500 0.500 0.250
Co6 0.500 0.500 0.750
Ge1 0.000 0.000 0.344
Ge2 0.000 0.000 0.656
Ge3 0.333 0.667 0.000
Ge4 0.333 0.667 0.500
Ge5 0.667 0.333 0.000
Ge6 0.667 0.333 0.500

Principal peaks in the range 10° ≤ 2θ ≤ 90°, by angle:
two_theta  I_rel
35.34  71
40.08  41
41.04  56
42.39  100
46.24  24
47.38  41
50.04  21
63.47  21
66.64  18
68.28  23
74.77  35
83.00  25

Theoretical powder diffractogram
Compound: Tm2CoGe2
Radiation: Cu Kα
Structure: a structure optimized by DFT (PBE)
Intensities are scaled so that the largest is 100.

Crystal structure
Unit cell a=5.523 b=5.523 c=9.974 alpha=115.47 beta=115.47 gamma=44.63
Atoms (fractional coordinates):
Tm1 0.006 0.006 0.333
Tm2 0.184 0.184 0.111
Tm3 0.816 0.816 0.889
Tm4 0.994 0.994 0.667
Co1 0.271 0.271 0.647
Co2 0.729 0.729 0.353
Ge1 0.345 0.345 0.434
Ge2 0.485 0.485 0.125
Ge3 0.515 0.515 0.875
Ge4 0.655 0.655 0.566

Principal peaks in the range 10° ≤ 2θ ≤ 90°, by angle:
two_theta  I_rel
23.38  23
33.98  55
34.11  65
34.54  25
34.69  100
35.18  46
37.90  52
40.88  33
41.84  83
43.14  64
56.83  23
68.03  27